1.
Theoretical PXRD pattern
Compound: GdTlTe2
Radiation: copper Kα
Structure: a crystal structure in the Materials Project, relaxed with GGA-PBE
Peak positions follow from Bragg's law for the DFT cell and can differ from measured ones.

Structure:
Cell: 4.5175 4.5175 24.4810 Å, 90.00 90.00 120.00°
Space group R-3m (No. 166, hexagonal axes)
Unique sites:
Gd 0.0000 0.0000 0.0000 (multiplicity 3)
Tl 0.0000 0.0000 0.5000 (multiplicity 3)
Te 0.0000 0.0000 0.2623 (multiplicity 6)

Principal peaks in the range 10 to 90 degrees two-theta, sorted by position:
2θ/deg, d_spacing, I (rel.), hkl
27.05, 3.296, 100, 1 0 4
37.31, 2.410, 38, 0 1 8
39.91, 2.259, 37, 1 1 0
44.41, 2.040, 6, 0 0 12
48.88, 1.863, 20, 0 2 4
55.78, 1.648, 12, 2 0 8
61.22, 1.514, 15, 1 1 12
64.87, 1.437, 17, 2 1 4
70.76, 1.331, 12, 1 2 8
72.48, 1.304, 7, 3 0 0


2.
Theoretical PXRD pattern
Compound: Mg6BiCO8
Radiation: copper Kα
Structure: a crystal structure in the Materials Project, relaxed with GGA-PBE
Peak positions follow from Bragg's law for the DFT cell and can differ from measured ones.

Structure:
Cell: 4.456 4.456 8.978 Å, 90.00 90.00 90.00°
Space group P4/mmm (No. 123)
Unique sites:
Mg 0.000 0.000 0.000 (multiplicity 1)
Mg 0.000 0.000 0.500 (multiplicity 1)
Mg 0.000 0.500 0.223 (multiplicity 4)
Bi 0.500 0.500 0.500 (multiplicity 1)
C 0.500 0.500 0.000 (multiplicity 1)
O 0.000 0.000 0.250 (multiplicity 2)
O 0.000 0.500 0.000 (multiplicity 2)
O 0.000 0.500 0.500 (multiplicity 2)
O 0.500 0.500 0.242 (multiplicity 2)

Principal peaks in the range 10 to 90 degrees two-theta, sorted by position:
2θ/deg, d_spacing, I (rel.), hkl
19.93, 4.456, 48, 1 0 0
22.27, 3.991, 100, 1 0 1
28.22, 3.162, 42, 1 0 2
30.06, 2.973, 58, 1 1 1
34.79, 2.579, 49, 1 1 2
36.16, 2.484, 33, 1 0 3
40.18, 2.244, 34, 0 0 4
40.49, 2.228, 73, 2 0 0
46.69, 1.945, 31, 2 1 1
58.36, 1.581, 41, 2 0 4


3.
Theoretical PXRD pattern
Compound: LiCu2P5O15
Radiation: copper Kα
Structure: a crystal structure in the Materials Project, relaxed with GGA-PBE
Peak positions follow from Bragg's law for the DFT cell and can differ from measured ones.

Structure:
Cell: 5.621 8.928 13.361 Å, 90.00 114.35 90.00°
Space group Pc (No. 7)
Unique sites:
Li 0.000 0.011 0.000 (multiplicity 2)
Cu 0.045 0.303 0.893 (multiplicity 2)
Cu 0.775 0.296 0.526 (multiplicity 2)
P 0.227 0.175 0.377 (multiplicity 2)
P 0.364 0.467 0.318 (multiplicity 2)
P 0.447 0.468 0.105 (multiplicity 2)
P 0.579 0.170 0.049 (multiplicity 2)
P 0.908 0.052 0.713 (multiplicity 2)
O 0.051 0.164 0.435 (multiplicity 2)
O 0.145 0.062 0.272 (multiplicity 2)
O 0.169 0.337 0.319 (multiplicity 2)
O 0.185 0.458 0.005 (multiplicity 2)
O 0.218 0.387 0.799 (multiplicity 2)
O 0.287 0.146 0.994 (multiplicity 2)
O 0.401 0.420 0.211 (multiplicity 2)
O 0.517 0.149 0.435 (multiplicity 2)
O 0.597 0.389 0.625 (multiplicity 2)
O 0.626 0.456 0.417 (multiplicity 2)
O 0.637 0.334 0.105 (multiplicity 2)
O 0.665 0.059 0.155 (multiplicity 2)
O 0.750 0.157 0.990 (multiplicity 2)
O 0.847 0.145 0.793 (multiplicity 2)
O 0.974 0.132 0.627 (multiplicity 2)

Principal peaks in the range 10 to 90 degrees two-theta, sorted by position:
2θ/deg, d_spacing, I (rel.), hkl
14.55, 6.086, 40, 0 0 2
17.44, 5.085, 100, 1 0 -2
18.65, 4.757, 85, 1 1 -1
19.98, 4.443, 59, 1 1 0
23.83, 3.734, 85, 1 1 -3
24.73, 3.599, 62, 0 2 2
26.99, 3.304, 59, 1 0 2
29.39, 3.039, 35, 1 2 1
29.76, 3.002, 39, 0 2 3
33.95, 2.641, 66, 1 2 -4


4.
Theoretical PXRD pattern
Compound: SiO2
Radiation: copper Kα
Structure: a crystal structure in the Materials Project, relaxed with GGA-PBE
Peak positions follow from Bragg's law for the DFT cell and can differ from measured ones.

Structure:
Cell: 14.186 18.607 7.528 Å, 90.00 99.77 90.00°
Space group C2/m (No. 12)
Unique sites:
Si 0.074 0.000 0.278 (multiplicity 4)
Si 0.101 0.157 0.441 (multiplicity 8)
Si 0.108 0.247 0.078 (multiplicity 8)
Si 0.149 0.000 0.906 (multiplicity 4)
Si 0.215 0.155 0.821 (multiplicity 8)
O 0.000 0.180 0.500 (multiplicity 4)
O 0.000 0.274 0.000 (multiplicity 4)
O 0.041 0.000 0.790 (multiplicity 4)
O 0.102 0.071 0.400 (multiplicity 8)
O 0.116 0.204 0.267 (multiplicity 8)
O 0.137 0.000 0.117 (multiplicity 4)
O 0.139 0.194 0.928 (multiplicity 8)
O 0.176 0.318 0.106 (multiplicity 8)
O 0.188 0.173 0.607 (multiplicity 8)
O 0.210 0.069 0.858 (multiplicity 8)

Principal peaks in the range 10 to 90 degrees two-theta, sorted by position:
2θ/deg, d_spacing, I (rel.), hkl
11.93, 7.418, 38, 0 0 1
13.40, 6.608, 47, 1 1 -1
18.86, 4.705, 33, 2 0 1
19.04, 4.661, 100, 1 3 -1
19.64, 4.521, 36, 3 1 0
22.56, 3.941, 46, 0 4 1
24.23, 3.672, 27, 1 1 -2
24.72, 3.602, 57, 3 1 1
26.30, 3.388, 27, 4 0 -1
26.99, 3.304, 33, 2 2 -2


5.
Theoretical PXRD pattern
Compound: Pt2O
Radiation: copper Kα
Structure: a crystal structure in the Materials Project, relaxed with GGA-PBE
Peak positions follow from Bragg's law for the DFT cell and can differ from measured ones.

Structure:
Cell: 4.546 4.546 4.546 Å, 90.00 90.00 90.00°
Space group Pn-3m (No. 224, origin choice 2)
Unique sites:
Pt 0.000 0.000 0.000 (multiplicity 4)
O 0.250 0.250 0.250 (multiplicity 2)

Principal peaks in the range 10 to 90 degrees two-theta, sorted by position:
2θ/deg, d_spacing, I (rel.), hkl
27.75, 3.214, 1, 1 1 0
34.16, 2.625, 100, 1 1 1
39.65, 2.273, 46, 2 0 0
57.33, 1.607, 37, 2 2 0
68.45, 1.371, 41, 3 1 1
71.95, 1.312, 11, 2 2 2
85.43, 1.136, 6, 4 0 0


6.
Theoretical PXRD pattern
Compound: K3Li5Al6Si10O30F6
Radiation: copper Kα
Structure: a crystal structure in the Materials Project, relaxed with GGA-PBE
Peak positions follow from Bragg's law for the DFT cell and can differ from measured ones.

Structure:
Cell: 5.353 5.452 32.640 Å, 88.79 87.99 62.30°
Space group P-1 (No. 2)
Unique sites:
K 0.000 0.000 0.000 (multiplicity 1)
K 0.139 0.086 0.293 (multiplicity 2)
Li 0.000 0.500 0.500 (multiplicity 1)
Li 0.280 0.474 0.805 (multiplicity 2)
Li 0.356 0.326 0.212 (multiplicity 2)
Al 0.001 0.035 0.817 (multiplicity 2)
Al 0.338 0.779 0.489 (multiplicity 2)
Al 0.446 0.785 0.881 (multiplicity 2)
Si 0.038 0.757 0.413 (multiplicity 2)
Si 0.092 0.609 0.090 (multiplicity 2)
Si 0.203 0.227 0.743 (multiplicity 2)
Si 0.307 0.584 0.587 (multiplicity 2)
Si 0.414 0.398 0.030 (multiplicity 2)
O 0.012 0.306 0.788 (multiplicity 2)
O 0.013 0.370 0.703 (multiplicity 2)
O 0.051 0.767 0.464 (multiplicity 2)
O 0.062 0.568 0.040 (multiplicity 2)
O 0.126 0.420 0.598 (multiplicity 2)
O 0.137 0.911 0.600 (multiplicity 2)
O 0.152 0.102 0.895 (multiplicity 2)
O 0.174 0.347 0.121 (multiplicity 2)
O 0.332 0.767 0.832 (multiplicity 2)
O 0.355 0.553 0.534 (multiplicity 2)
O 0.370 0.590 0.397 (multiplicity 2)
O 0.387 0.890 0.742 (multiplicity 2)
O 0.438 0.334 0.750 (multiplicity 2)
O 0.459 0.512 0.079 (multiplicity 2)
O 0.464 0.922 0.965 (multiplicity 2)
F 0.098 0.165 0.213 (multiplicity 2)
F 0.305 0.802 0.153 (multiplicity 2)
F 0.340 0.081 0.470 (multiplicity 2)

Principal peaks in the range 10 to 90 degrees two-theta, sorted by position:
2θ/deg, d_spacing, I (rel.), hkl
10.85, 8.155, 51, 0 0 4
16.30, 5.437, 49, 0 0 6
19.17, 4.630, 89, 0 1 2
19.36, 4.585, 42, 1 0 2
19.80, 4.484, 100, 1 1 2
21.14, 4.202, 85, 1 1 -3
23.22, 3.830, 39, 1 1 5
33.09, 2.708, 49, 1 2 -1
33.79, 2.653, 41, 1 -1 4
37.83, 2.378, 39, 1 1 12


7.
Theoretical PXRD pattern
Compound: LaNdAl6
Radiation: copper Kα
Structure: a crystal structure in the Materials Project, relaxed with GGA-PBE
Peak positions follow from Bragg's law for the DFT cell and can differ from measured ones.

Structure:
Cell: 6.6593 6.6593 4.5272 Å, 90.00 90.00 120.00°
Space group P-6m2 (No. 187)
Unique sites:
La 0.0000 0.0000 0.0000 (multiplicity 1)
Nd 0.3333 0.6667 0.5000 (multiplicity 1)
Al 0.3869 0.1935 0.5000 (multiplicity 3)
Al 0.5254 0.0508 0.0000 (multiplicity 3)

Principal peaks in the range 10 to 90 degrees two-theta, sorted by position:
2θ/deg, d_spacing, I (rel.), hkl
15.36, 5.767, 19, 1 0 0
25.01, 3.561, 91, 1 0 1
26.77, 3.330, 49, 1 1 0
31.01, 2.884, 26, 2 0 0
36.96, 2.432, 100, 2 0 1
39.82, 2.264, 19, 0 0 2
46.22, 1.964, 23, 2 1 1
48.64, 1.872, 19, 1 1 2
55.17, 1.665, 18, 2 2 0
61.48, 1.508, 21, 3 1 1


8.
Theoretical PXRD pattern
Compound: CuPO4
Radiation: copper Kα
Structure: a crystal structure in the Materials Project, relaxed with GGA-PBE
Peak positions follow from Bragg's law for the DFT cell and can differ from measured ones.

Structure:
Cell: 5.421 5.421 5.250 Å, 90.00 90.00 90.00°
Space group I-4 (No. 82)
Unique sites:
Cu 0.000 0.000 0.000 (multiplicity 2)
P 0.000 0.500 0.250 (multiplicity 2)
O 0.140 0.695 0.089 (multiplicity 8)

Principal peaks in the range 10 to 90 degrees two-theta, sorted by position:
2θ/deg, d_spacing, I (rel.), hkl
23.59, 3.771, 100, 1 0 1
33.05, 2.711, 11, 2 0 0
41.01, 2.201, 27, 2 1 1
41.70, 2.166, 26, 1 1 2
47.44, 1.917, 10, 2 2 0
53.64, 1.709, 5, 3 0 1
64.47, 1.445, 11, 2 3 1
64.97, 1.435, 15, 3 1 2
65.82, 1.419, 8, 2 1 3
74.38, 1.275, 6, 1 4 1